No. 1
For Ba4Al3Pd2, a structure optimized by DFT (PBE) gives the calculated powder XRD pattern in this record (λ = 1.5418 Å (Cu Kα)).
Neutral-atom scattering factors, no anomalous dispersion.

Structural model:
a b c (Å): 17.782 4.235 8.006
angles (deg): 90.00 108.24 90.00
Space group C2/m (No. 12)
One atom of each set of equivalent atoms:
Ba 0.079 0.000 0.398 (multiplicity 4)
Ba 0.234 0.500 0.194 (multiplicity 4)
Al 0.000 0.500 0.000 (multiplicity 2)
Al 0.094 0.500 0.781 (multiplicity 4)
Pd 0.079 0.000 0.952 (multiplicity 4)

Main lines, by angle (5 to 70 degrees two-theta):
2theta  intensity  index
21.6  79  1 1 0
26.2  100  4 0 -2
26.7  66  3 1 -1
28.6  79  2 0 2
30.9  47  3 1 1
31.8  74  6 0 0
33.3  89  1 1 2
33.9  55  5 1 0
36.4  66  5 1 -2
42.7  43  0 2 0


No. 2
For Ba2Al12ZnPd3, a structure optimized by DFT (PBE) gives the calculated powder XRD pattern in this record (λ = 1.5418 Å (Cu Kα)).
Neutral-atom scattering factors, no anomalous dispersion.

Structural model:
a b c (Å): 9.3467 9.3467 18.4418
angles (deg): 90.00 90.00 120.00
Space group R-3m (No. 166, hexagonal axes)
One atom of each set of equivalent atoms:
Ba 0.0000 0.0000 0.1041 (multiplicity 6)
Al 0.0210 0.5105 0.1355 (multiplicity 18)
Al 0.1067 0.2134 0.6211 (multiplicity 18)
Zn 0.0000 0.0000 0.5000 (multiplicity 3)
Pd 0.0000 0.5000 0.0000 (multiplicity 9)

Main lines, by angle (5 to 70 degrees two-theta):
2theta  intensity  index
22.2  35  1 0 4
22.5  100  0 2 1
24.0  71  2 0 2
26.6  27  0 1 5
36.4  18  0 3 3
38.2  28  1 2 5
38.5  55  2 2 0
45.1  25  4 0 1
45.3  23  2 0 8
47.4  26  3 1 5


No. 3
For BaPm2Al3Zn6, a structure optimized by DFT (PBE) gives the calculated powder XRD pattern in this record (λ = 1.5418 Å (Cu Kα)).
Neutral-atom scattering factors, no anomalous dispersion.

Structural model:
a b c (Å): 4.304 4.304 14.138
angles (deg): 90.00 90.00 90.00
Space group P4/mmm (No. 123)
One atom of each set of equivalent atoms:
Ba 0.000 0.000 0.000 (multiplicity 1)
Pm 0.000 0.000 0.378 (multiplicity 2)
Al 0.500 0.500 0.105 (multiplicity 2)
Al 0.500 0.500 0.500 (multiplicity 1)
Zn 0.000 0.500 0.208 (multiplicity 4)
Zn 0.500 0.500 0.314 (multiplicity 2)

Main lines, by angle (5 to 70 degrees two-theta):
2theta  intensity  index
24.2  28  1 0 2
28.1  28  1 0 3
29.3  28  1 1 0
32.0  38  1 1 2
35.1  100  1 1 3
38.1  69  1 0 5
39.1  21  1 1 4
42.0  70  2 0 0
58.0  42  2 1 5
60.9  23  2 2 0


No. 4
For BaAlPt2, a structure optimized by DFT (PBE) gives the calculated powder XRD pattern in this record (λ = 1.5418 Å (Cu Kα)).
Neutral-atom scattering factors, no anomalous dispersion.

Structural model:
a b c (Å): 4.353 6.990 6.360
angles (deg): 90.00 90.00 90.00
Space group Pmmn (No. 59, origin choice 2)
One atom of each set of equivalent atoms:
Ba 0.250 0.250 0.132 (multiplicity 2)
Al 0.250 0.750 0.394 (multiplicity 2)
Pt 0.250 0.054 0.629 (multiplicity 4)

Main lines, by angle (5 to 70 degrees two-theta):
2theta  intensity  index
13.9  74  0 0 1
24.1  58  1 1 0
24.8  27  1 0 1
29.2  50  0 2 1
30.9  47  0 1 2
34.9  100  1 0 2
35.8  86  1 2 1
41.3  27  0 3 1
41.5  39  2 0 0
46.5  42  1 3 1


No. 5
For BaAl3Pt2, a structure optimized by DFT (PBE) gives the calculated powder XRD pattern in this record (λ = 1.5418 Å (Cu Kα)).
Neutral-atom scattering factors, no anomalous dispersion.

Structural model:
a b c (Å): 17.545 4.267 10.443
angles (deg): 90.00 99.68 90.00
Space group C2/m (No. 12)
One atom of each set of equivalent atoms:
Ba 0.000 0.000 0.000 (multiplicity 2)
Ba 0.145 0.000 0.720 (multiplicity 4)
Al 0.000 0.500 0.500 (multiplicity 2)
Al 0.062 0.000 0.360 (multiplicity 4)
Al 0.141 0.500 0.222 (multiplicity 4)
Al 0.198 0.500 0.998 (multiplicity 4)
Al 0.222 0.000 0.401 (multiplicity 4)
Pt 0.001 0.500 0.257 (multiplicity 4)
Pt 0.145 0.500 0.463 (multiplicity 4)
Pt 0.197 0.000 0.143 (multiplicity 4)

Main lines, by angle (5 to 70 degrees two-theta):
2theta  intensity  index
23.6  37  4 0 1
26.3  60  2 0 -3
26.6  40  3 1 -1
27.1  40  1 1 -2
29.8  84  3 1 -2
31.0  52  6 0 0
32.8  100  3 1 2
33.3  35  5 1 -1
38.1  37  2 0 4
42.4  55  0 2 0


No. 6
For Ba2AlPt3, a structure optimized by DFT (PBE) gives the calculated powder XRD pattern in this record (λ = 1.5418 Å (Cu Kα)).
Neutral-atom scattering factors, no anomalous dispersion.

Structural model:
a b c (Å): 4.307 5.943 12.540
angles (deg): 90.00 90.00 90.00
Space group Immm (No. 71)
One atom of each set of equivalent atoms:
Ba 0.000 0.000 0.178 (multiplicity 4)
Al 0.000 0.000 0.500 (multiplicity 2)
Pt 0.000 0.500 0.111 (multiplicity 4)
Pt 0.000 0.500 0.500 (multiplicity 2)

Main lines, by angle (5 to 70 degrees two-theta):
2theta  intensity  index
25.5  26  1 1 0
29.3  73  1 1 2
29.8  100  1 0 3
30.1  82  0 2 0
39.0  58  0 1 5
41.9  37  2 0 0
42.8  74  1 2 3
52.5  35  2 2 0
58.6  36  2 1 5
65.3  23  1 1 8


No. 7
For RbBaAl3, a structure optimized by DFT (PBE) gives the calculated powder XRD pattern in this record (λ = 1.5418 Å (Cu Kα)).
Neutral-atom scattering factors, no anomalous dispersion.

Structural model:
a b c (Å): 5.893 5.893 5.893
angles (deg): 90.00 90.00 90.00
Space group Pm-3m (No. 221)
One atom of each set of equivalent atoms:
Rb 0.000 0.000 0.000 (multiplicity 1)
Ba 0.500 0.500 0.500 (multiplicity 1)
Al 0.000 0.000 0.500 (multiplicity 3)

Main lines, by angle (5 to 70 degrees two-theta):
2theta  intensity  index
21.3  100  1 1 0
26.2  18  1 1 1
30.3  52  2 0 0
37.4  47  2 1 1
43.4  38  2 2 0
48.9  22  3 1 0
51.4  8  3 1 1
53.9  13  2 2 2
58.6  25  3 2 1
67.4  12  4 1 1


No. 8
For BaSrAl2Rh, a structure optimized by DFT (PBE) gives the calculated powder XRD pattern in this record (λ = 1.5418 Å (Cu Kα)).
Neutral-atom scattering factors, no anomalous dispersion.

Structural model:
a b c (Å): 4.983 4.983 5.575
angles (deg): 90.00 90.00 90.00
Space group P4/mmm (No. 123)
One atom of each set of equivalent atoms:
Ba 0.000 0.000 0.000 (multiplicity 1)
Sr 0.500 0.500 0.000 (multiplicity 1)
Al 0.000 0.500 0.500 (multiplicity 2)
Rh 0.500 0.500 0.500 (multiplicity 1)

Main lines, by angle (5 to 70 degrees two-theta):
2theta  intensity  index
24.0  70  1 0 1
25.3  100  1 1 0
30.0  50  1 1 1
32.1  53  0 0 2
36.0  77  2 0 0
41.3  54  1 1 2
43.7  27  2 1 1
49.0  64  2 0 2
51.9  27  2 2 0
62.4  32  2 2 2